The following is a theoretical XRD peak list of Li4SnSe4. It was derived from a DFT-relaxed cell (GGA-PBE, Alexandria), using copper Kα.
Kinematic intensities with the Lorentz-polarization factor, no thermal factor.

Crystal structure
a = 7.135 Å, b = 7.135 Å, c = 8.457 Å
α = 90.00°, β = 90.00°, γ = 85.47°
Positions (direct):
Li (0.091, 0.608, 0.750)
Li (0.337, 0.337, 0.000)
Li (0.337, 0.337, 0.500)
Li (0.392, 0.909, 0.750)
Li (0.608, 0.091, 0.250)
Li (0.663, 0.663, 0.000)
Li (0.663, 0.663, 0.500)
Li (0.909, 0.392, 0.250)
Sn (0.153, 0.847, 0.250)
Sn (0.847, 0.153, 0.750)
Se (0.192, 0.229, 0.750)
Se (0.229, 0.192, 0.250)
Se (0.300, 0.700, 0.503)
Se (0.300, 0.700, 0.997)
Se (0.700, 0.300, 0.003)
Se (0.700, 0.300, 0.497)
Se (0.771, 0.808, 0.750)
Se (0.808, 0.771, 0.250)

Main lines, low angle first (5 to 70 degrees two-theta):
16.28 deg, intensity 50; 21.14 deg, intensity 36; 24.49 deg, intensity 59; 25.04 deg, intensity 100; 28.01 deg, intensity 39; 34.22 deg, intensity 40; 36.04 deg, intensity 34; 43.77 deg, intensity 59

=====

The following is a theoretical XRD peak list of Li8SnSe6. It was derived from a DFT-relaxed cell (GGA-PBE, Alexandria), using copper Kα.
Kinematic intensities with the Lorentz-polarization factor, no thermal factor.

Crystal structure
a = 7.554 Å, b = 7.838 Å, c = 11.068 Å
α = 90.00°, β = 90.00°, γ = 90.00°
Positions (direct):
Li (0.000, 0.128, 0.000)
Li (0.000, 0.243, 0.442)
Li (0.209, 0.580, 0.787)
Li (0.215, 0.735, 0.109)
Li (0.219, 0.943, 0.780)
Li (0.281, 0.057, 0.280)
Li (0.285, 0.265, 0.609)
Li (0.291, 0.420, 0.287)
Li (0.500, 0.757, 0.942)
Li (0.500, 0.872, 0.500)
Li (0.709, 0.420, 0.287)
Li (0.715, 0.265, 0.609)
Li (0.719, 0.057, 0.280)
Li (0.781, 0.943, 0.780)
Li (0.785, 0.735, 0.109)
Li (0.791, 0.580, 0.787)
Sn (0.000, 0.748, 0.468)
Sn (0.500, 0.252, 0.968)
Se (0.000, 0.016, 0.601)
Se (0.000, 0.242, 0.225)
Se (0.000, 0.481, 0.602)
Se (0.000, 0.781, 0.932)
Se (0.226, 0.259, 0.840)
Se (0.274, 0.741, 0.340)
Se (0.500, 0.219, 0.432)
Se (0.500, 0.519, 0.102)
Se (0.500, 0.758, 0.725)
Se (0.500, 0.984, 0.101)
Se (0.726, 0.741, 0.340)
Se (0.774, 0.259, 0.840)

Main lines, low angle first (5 to 70 degrees two-theta):
13.85 deg, intensity 38; 14.19 deg, intensity 50; 22.93 deg, intensity 100; 26.88 deg, intensity 59; 27.42 deg, intensity 40; 27.90 deg, intensity 57; 28.61 deg, intensity 38; 46.84 deg, intensity 66

=====

The following is a theoretical XRD peak list of SrLiTmSe3. It was derived from a DFT-relaxed cell (GGA-PBE, Alexandria), using copper Kα.
Kinematic intensities with the Lorentz-polarization factor, no thermal factor.

Crystal structure
a = 8.583 Å, b = 4.137 Å, c = 9.029 Å
α = 90.00°, β = 104.07°, γ = 90.00°
Positions (direct):
Sr (0.192, 0.250, 0.239)
Sr (0.808, 0.750, 0.761)
Li (0.086, 0.250, 0.588)
Li (0.914, 0.750, 0.412)
Tm (0.329, 0.750, 0.837)
Tm (0.671, 0.250, 0.163)
Se (0.110, 0.250, 0.870)
Se (0.219, 0.750, 0.517)
Se (0.442, 0.750, 0.164)
Se (0.558, 0.250, 0.836)
Se (0.781, 0.250, 0.483)
Se (0.890, 0.750, 0.130)

Main lines, low angle first (5 to 70 degrees two-theta):
10.10 deg, intensity 27; 12.77 deg, intensity 22; 21.32 deg, intensity 20; 30.44 deg, intensity 100; 30.62 deg, intensity 32; 37.09 deg, intensity 17; 39.80 deg, intensity 20; 43.76 deg, intensity 18

=====

The following is a theoretical XRD peak list of LiTaSe2. It was derived from a DFT-relaxed cell (GGA-PBE, Alexandria), using copper Kα.
Kinematic intensities with the Lorentz-polarization factor, no thermal factor.

Crystal structure
a = 3.533 Å, b = 3.533 Å, c = 6.829 Å
α = 90.00°, β = 90.00°, γ = 120.00°
Positions (direct):
Li (0.000, 0.000, 0.000)
Ta (0.000, 0.000, 0.500)
Se (0.333, 0.667, 0.746)
Se (0.667, 0.333, 0.254)

Main lines, low angle first (5 to 70 degrees two-theta):
12.96 deg, intensity 90; 32.05 deg, intensity 100; 39.55 deg, intensity 86; 49.93 deg, intensity 30; 51.75 deg, intensity 31; 53.58 deg, intensity 15; 62.20 deg, intensity 19; 67.04 deg, intensity 24

=====

The following is a theoretical XRD peak list of LiTaSe3. It was derived from a DFT-relaxed cell (GGA-PBE, Alexandria), using copper Kα.
Kinematic intensities with the Lorentz-polarization factor, no thermal factor.

Crystal structure
a = 8.269 Å, b = 8.269 Å, c = 8.552 Å
α = 105.61°, β = 105.61°, γ = 26.03°
Positions (direct):
Li (0.156, 0.156, 0.359)
Li (0.844, 0.844, 0.641)
Ta (0.365, 0.365, 0.171)
Ta (0.635, 0.635, 0.829)
Se (0.021, 0.021, 0.770)
Se (0.188, 0.188, 0.061)
Se (0.334, 0.334, 0.431)
Se (0.666, 0.666, 0.569)
Se (0.812, 0.812, 0.939)
Se (0.979, 0.979, 0.230)

Main lines, low angle first (5 to 70 degrees two-theta):
10.76 deg, intensity 35; 13.37 deg, intensity 100; 17.78 deg, intensity 37; 21.50 deg, intensity 33; 26.24 deg, intensity 37; 29.57 deg, intensity 40; 41.67 deg, intensity 46; 48.90 deg, intensity 22

=====

The following is a theoretical XRD peak list of Li4TaTi3Se8. It was derived from a DFT-relaxed cell (GGA-PBE, Alexandria), using copper Kα.
Kinematic intensities with the Lorentz-polarization factor, no thermal factor.

Crystal structure
a = 7.793 Å, b = 7.793 Å, c = 7.793 Å
α = 55.48°, β = 55.48°, γ = 55.48°
Positions (direct):
Li (0.000, 0.000, 0.000)
Li (0.000, 0.500, 0.500)
Li (0.500, 0.000, 0.500)
Li (0.500, 0.500, 0.000)
Ta (0.500, 0.500, 0.500)
Ti (0.000, 0.000, 0.500)
Ti (0.000, 0.500, 0.000)
Ti (0.500, 0.000, 0.000)
Se (0.245, 0.748, 0.748)
Se (0.246, 0.246, 0.246)
Se (0.252, 0.252, 0.755)
Se (0.252, 0.755, 0.252)
Se (0.748, 0.245, 0.748)
Se (0.748, 0.748, 0.245)
Se (0.754, 0.754, 0.754)
Se (0.755, 0.252, 0.252)

Main lines, low angle first (5 to 70 degrees two-theta):
13.47 deg, intensity 38; 14.80 deg, intensity 11; 28.78 deg, intensity 13; 29.85 deg, intensity 13; 33.84 deg, intensity 100; 46.86 deg, intensity 39; 50.31 deg, intensity 33; 62.01 deg, intensity 17

=====

The following is a theoretical XRD peak list of LiTa2Tl2Se6. It was derived from a DFT-relaxed cell (GGA-PBE, Alexandria), using copper Kα.
Kinematic intensities with the Lorentz-polarization factor, no thermal factor.

Crystal structure
a = 6.508 Å, b = 6.508 Å, c = 7.994 Å
α = 96.55°, β = 96.55°, γ = 117.90°
Positions (direct):
Li (0.000, 0.000, 0.000)
Ta (0.350, 0.650, 0.000)
Ta (0.650, 0.350, 0.000)
Tl (0.173, 0.827, 0.500)
Tl (0.827, 0.173, 0.500)
Se (0.049, 0.402, 0.182)
Se (0.315, 0.315, 0.778)
Se (0.402, 0.049, 0.182)
Se (0.598, 0.951, 0.818)
Se (0.685, 0.685, 0.222)
Se (0.951, 0.598, 0.818)

Main lines, low angle first (5 to 70 degrees two-theta):
15.90 deg, intensity 25; 17.55 deg, intensity 52; 21.12 deg, intensity 28; 31.09 deg, intensity 100; 31.57 deg, intensity 56; 39.71 deg, intensity 29; 42.17 deg, intensity 36; 47.49 deg, intensity 35

=====

The following is a theoretical XRD peak list of LiTb6Se5. It was derived from a DFT-relaxed cell (GGA-PBE, Alexandria), using copper Kα.
Kinematic intensities with the Lorentz-polarization factor, no thermal factor.

Crystal structure
a = 6.859 Å, b = 6.859 Å, c = 14.364 Å
α = 90.00°, β = 90.00°, γ = 120.00°
Positions (direct):
Li (0.000, 0.000, 0.250)
Li (0.000, 0.000, 0.750)
Tb (0.000, 0.328, 0.115)
Tb (0.000, 0.328, 0.385)
Tb (0.000, 0.672, 0.615)
Tb (0.000, 0.672, 0.885)
Tb (0.328, 0.000, 0.115)
Tb (0.328, 0.000, 0.385)
Tb (0.328, 0.328, 0.615)
Tb (0.328, 0.328, 0.885)
Tb (0.672, 0.000, 0.615)
Tb (0.672, 0.000, 0.885)
Tb (0.672, 0.672, 0.115)
Tb (0.672, 0.672, 0.385)
Se (0.000, 0.347, 0.750)
Se (0.000, 0.653, 0.250)
Se (0.333, 0.667, 0.000)
Se (0.333, 0.667, 0.500)
Se (0.347, 0.000, 0.750)
Se (0.347, 0.347, 0.250)
Se (0.653, 0.000, 0.250)
Se (0.653, 0.653, 0.750)
Se (0.667, 0.333, 0.000)
Se (0.667, 0.333, 0.500)

Main lines, low angle first (5 to 70 degrees two-theta):
25.98 deg, intensity 20; 26.72 deg, intensity 23; 32.10 deg, intensity 100; 36.22 deg, intensity 23; 40.98 deg, intensity 21; 45.83 deg, intensity 43; 51.93 deg, intensity 11; 57.05 deg, intensity 19

=====

The following is a theoretical XRD peak list of Li3Tb2ThSe6. It was derived from a DFT-relaxed cell (GGA-PBE, Alexandria), using copper Kα.
Kinematic intensities with the Lorentz-polarization factor, no thermal factor.

Crystal structure
a = 7.082 Å, b = 7.082 Å, c = 6.958 Å
α = 99.76°, β = 99.76°, γ = 120.02°
Positions (direct):
Li (0.000, 0.000, 0.000)
Li (0.332, 0.668, 0.000)
Li (0.668, 0.332, 0.000)
Tb (0.166, 0.834, 0.500)
Tb (0.834, 0.166, 0.500)
Th (0.500, 0.500, 0.500)
Se (0.077, 0.414, 0.240)
Se (0.250, 0.250, 0.761)
Se (0.414, 0.077, 0.240)
Se (0.586, 0.923, 0.760)
Se (0.750, 0.750, 0.239)
Se (0.923, 0.586, 0.760)

Main lines, low angle first (5 to 70 degrees two-theta):
13.53 deg, intensity 53; 25.57 deg, intensity 44; 31.15 deg, intensity 100; 34.10 deg, intensity 24; 44.31 deg, intensity 38; 44.94 deg, intensity 36; 46.55 deg, intensity 15; 55.15 deg, intensity 20

=====

The following is a theoretical XRD peak list of Li3Tb2TiSe6. It was derived from a DFT-relaxed cell (GGA-PBE, Alexandria), using copper Kα.
Kinematic intensities with the Lorentz-polarization factor, no thermal factor.

Crystal structure
a = 6.867 Å, b = 6.867 Å, c = 6.864 Å
α = 99.61°, β = 99.61°, γ = 119.92°
Positions (direct):
Li (0.000, 0.000, 0.000)
Li (0.335, 0.665, 0.000)
Li (0.665, 0.335, 0.000)
Tb (0.168, 0.832, 0.500)
Tb (0.832, 0.168, 0.500)
Ti (0.500, 0.500, 0.500)
Se (0.103, 0.415, 0.249)
Se (0.271, 0.271, 0.745)
Se (0.415, 0.103, 0.249)
Se (0.585, 0.897, 0.751)
Se (0.729, 0.729, 0.255)
Se (0.897, 0.585, 0.751)

Main lines, low angle first (5 to 70 degrees two-theta):
13.68 deg, intensity 43; 26.35 deg, intensity 27; 31.92 deg, intensity 100; 34.87 deg, intensity 13; 45.77 deg, intensity 71; 47.98 deg, intensity 11; 56.88 deg, intensity 24; 66.73 deg, intensity 11

=====

The following is a theoretical XRD peak list of LiTb2TlSe4. It was derived from a DFT-relaxed cell (GGA-PBE, Alexandria), using copper Kα.
Kinematic intensities with the Lorentz-polarization factor, no thermal factor.

Crystal structure
a = 7.312 Å, b = 7.312 Å, c = 14.708 Å
α = 90.00°, β = 90.00°, γ = 146.70°
Positions (direct):
Li (0.169, 0.831, 0.750)
Li (0.831, 0.169, 0.250)
Tb (0.366, 0.634, 0.062)
Tb (0.366, 0.634, 0.438)
Tb (0.634, 0.366, 0.562)
Tb (0.634, 0.366, 0.938)
Tl (0.105, 0.895, 0.250)
Tl (0.895, 0.105, 0.750)
Se (0.000, 0.000, 0.000)
Se (0.000, 0.000, 0.500)
Se (0.265, 0.735, 0.608)
Se (0.265, 0.735, 0.892)
Se (0.429, 0.571, 0.250)
Se (0.571, 0.429, 0.750)
Se (0.735, 0.265, 0.108)
Se (0.735, 0.265, 0.392)

Main lines, low angle first (5 to 70 degrees two-theta):
22.13 deg, intensity 83; 27.39 deg, intensity 33; 29.27 deg, intensity 100; 31.15 deg, intensity 65; 37.92 deg, intensity 47; 40.59 deg, intensity 35; 42.95 deg, intensity 61; 43.18 deg, intensity 37

=====

The following is a theoretical XRD peak list of LiTbTm2Se4. It was derived from a DFT-relaxed cell (GGA-PBE, Alexandria), using copper Kα.
Kinematic intensities with the Lorentz-polarization factor, no thermal factor.

Crystal structure
a = 6.975 Å, b = 4.009 Å, c = 6.982 Å
α = 90.00°, β = 109.22°, γ = 90.00°
Positions (direct):
Li (0.000, 0.000, 0.000)
Tb (0.000, 0.500, 0.500)
Tm (0.500, 0.000, 0.500)
Tm (0.500, 0.500, 0.000)
Se (0.248, 0.500, 0.244)
Se (0.251, 0.000, 0.758)
Se (0.749, 0.000, 0.242)
Se (0.752, 0.500, 0.756)

Main lines, low angle first (5 to 70 degrees two-theta):
13.44 deg, intensity 18; 25.99 deg, intensity 13; 31.44 deg, intensity 100; 44.86 deg, intensity 12; 45.06 deg, intensity 49; 45.24 deg, intensity 12; 55.81 deg, intensity 13; 56.13 deg, intensity 13

=====

Repeat the sixth record exactly.
The following is a theoretical XRD peak list of Li4TaTi3Se8. It was derived from a DFT-relaxed cell (GGA-PBE, Alexandria), using copper Kα.
Kinematic intensities with the Lorentz-polarization factor, no thermal factor.

Crystal structure
a = 7.793 Å, b = 7.793 Å, c = 7.793 Å
α = 55.48°, β = 55.48°, γ = 55.48°
Positions (direct):
Li (0.000, 0.000, 0.000)
Li (0.000, 0.500, 0.500)
Li (0.500, 0.000, 0.500)
Li (0.500, 0.500, 0.000)
Ta (0.500, 0.500, 0.500)
Ti (0.000, 0.000, 0.500)
Ti (0.000, 0.500, 0.000)
Ti (0.500, 0.000, 0.000)
Se (0.245, 0.748, 0.748)
Se (0.246, 0.246, 0.246)
Se (0.252, 0.252, 0.755)
Se (0.252, 0.755, 0.252)
Se (0.748, 0.245, 0.748)
Se (0.748, 0.748, 0.245)
Se (0.754, 0.754, 0.754)
Se (0.755, 0.252, 0.252)

Main lines, low angle first (5 to 70 degrees two-theta):
13.47 deg, intensity 38; 14.80 deg, intensity 11; 28.78 deg, intensity 13; 29.85 deg, intensity 13; 33.84 deg, intensity 100; 46.86 deg, intensity 39; 50.31 deg, intensity 33; 62.01 deg, intensity 17